Record 1
Diffraction record for Ca3PuAs3. The powder diffractogram is computed, not measured: it uses a GGA-PBE-relaxed structure and Cu Kα X-rays.
Peak positions follow from Bragg's law for the DFT cell and can differ from measured ones.

Structure:
a b c (Å): 8.9388 8.9388 8.9388
angles (deg): 90.00 90.00 90.00
Space group P2_13 (No. 198)
Asymmetric unit:
Ca (0.0656, 0.4344, 0.5656) (multiplicity 4)
Ca (0.1799, 0.1799, 0.1799) (multiplicity 4)
Ca (0.1813, 0.8187, 0.3187) (multiplicity 4)
Pu (0.0673, 0.5673, 0.9327) (multiplicity 4)
As (0.0011, 0.2554, 0.8714) (multiplicity 12)

Most intense lines, 2θ from 15° to 90°, by angle:
2θ (°), I_rel, hkl
17.18, 356, 1 1 1
19.86, 136, 2 0 0
22.24, 261, 2 0 1
31.65, 1000, 3 1 0
37.65, 706, 3 2 1
41.66, 157, 4 0 1
49.99, 137, 4 2 2
52.18, 261, 4 1 3
64.23, 221, 6 1 1
78.66, 150, 7 2 1


Record 2
Diffraction record for La3HoMg. The powder diffractogram is computed, not measured: it uses a GGA-PBE-relaxed structure and Cu Kα X-rays.
Peak positions follow from Bragg's law for the DFT cell and can differ from measured ones.

Structure:
a b c (Å): 3.5955 7.2003 13.3308
angles (deg): 90.00 97.62 90.00
Space group P2_1/m (No. 11)
Asymmetric unit:
La (0.1000, 0.0127, 0.1953) (multiplicity 4)
La (0.2951, 0.7500, 0.5876) (multiplicity 2)
Ho (0.4988, 0.2500, 0.9968) (multiplicity 2)
Mg (0.3131, 0.2500, 0.6327) (multiplicity 2)

Most intense lines, 2θ from 15° to 90°, by angle:
2θ (°), I_rel, hkl
28.23, 622, 0 2 2
30.06, 1000, 1 0 2
32.11, 435, 0 2 3
33.92, 339, 0 0 5
35.45, 684, 1 2 -1
47.23, 169, 1 2 4
50.75, 232, 2 0 -1
52.38, 205, 1 2 -6
60.09, 275, 1 4 2
62.42, 169, 2 0 4


Record 3
Diffraction record for SiHg. The powder diffractogram is computed, not measured: it uses a GGA-PBE-relaxed structure and Cu Kα X-rays.
Peak positions follow from Bragg's law for the DFT cell and can differ from measured ones.

Structure:
a b c (Å): 8.4502 9.2408 6.9486
angles (deg): 90.00 90.00 90.00
Space group C222_1 (No. 20)
Asymmetric unit:
Si (0.0013, 0.1131, 0.0778) (multiplicity 8)
Hg (0.2483, 0.2501, 0.5014) (multiplicity 8)

Most intense lines, 2θ from 15° to 90°, by angle:
2θ (°), I_rel, hkl
19.21, 1000, 0 2 0
21.03, 602, 2 0 0
25.64, 621, 0 0 2
28.63, 842, 2 2 0
32.24, 583, 0 2 2
33.39, 461, 2 0 2
38.81, 748, 2 2 2
44.71, 316, 2 4 0
47.28, 381, 4 2 0
52.25, 361, 2 4 2


Record 4
Diffraction record for Na8Cd2Sb. The powder diffractogram is computed, not measured: it uses a GGA-PBE-relaxed structure and Cu Kα X-rays.
Peak positions follow from Bragg's law for the DFT cell and can differ from measured ones.

Structure:
a b c (Å): 16.8674 8.0378 5.2477
angles (deg): 90.00 108.01 90.00
Space group C2 (No. 5)
Asymmetric unit:
Na (0.0000, 0.0000, 0.0000) (multiplicity 2)
Na (0.0000, 0.3334, 0.5000) (multiplicity 2)
Na (0.1089, 0.6807, 0.6083) (multiplicity 4)
Na (0.1566, 0.3538, 0.1565) (multiplicity 4)
Na (0.1990, 0.8606, 0.1988) (multiplicity 4)
Cd (0.1570, 0.0814, 0.6567) (multiplicity 4)
Sb (0.0000, 0.6008, 0.0000) (multiplicity 2)

Most intense lines, 2θ from 15° to 90°, by angle:
2θ (°), I_rel, hkl
19.94, 670, 3 1 0
20.21, 566, 1 1 -1
22.12, 194, 0 2 0
23.76, 368, 4 0 -1
32.69, 1000, 2 2 1
34.17, 274, 2 0 -2
37.70, 183, 1 3 -1
39.45, 292, 5 1 1
39.88, 237, 1 1 2
60.23, 212, 6 2 -3